For Li6V3FeP6O24, a cell relaxed with GGA+U gives the computed powder XRD pattern in this record (λ = 1.5418 Å (Cu Kα)).

The 10 most intense peaks (2θ = 10–80°), most intense first:
index, 2θ/deg, I/Imax
2 -1 1, 24.08, 100
-1 1 1, 20.37, 64
2 -1 0, 20.75, 50
1 0 -2, 23.92, 46
0 1 0, 14.17, 44
0 2 -1, 23.80, 41
0 2 0, 28.57, 37
1 -2 2, 24.20, 35
2 1 0, 35.13, 30
1 -2 1, 20.63, 29

```
Li6V3FeP6O24
1.0
8.5654 0.0000 0.0000
-4.1056 7.5719 0.0000
-0.0502 -4.9258 7.1984
Li V Fe P O
6 3 1 6 24
Direct
0.0000 0.0000 0.0000 Li
0.0278 0.3515 0.9259 Li
0.1079 0.7501 0.3590 Li
0.4931 0.0092 0.2508 Li
0.5758 0.4077 0.6875 Li
0.6074 0.7600 0.6146 Li
0.1635 0.1645 0.4494 V
0.4382 0.5947 0.1634 V
0.6559 0.1660 0.9437 V
0.9481 0.5918 0.6655 Fe
0.0482 0.3745 0.2577 P
0.2527 0.1011 0.7814 P
0.3469 0.6549 0.8293 P
0.5549 0.3860 0.3558 P
0.7516 0.0984 0.5475 P
0.8497 0.6617 0.0634 P
0.0339 0.8524 0.2239 O
0.1132 0.9123 0.7944 O
0.1181 0.2530 0.2859 O
0.1433 0.5908 0.7811 O
0.1922 0.0328 0.5784 O
0.1961 0.5481 0.2288 O
0.2406 0.2925 0.9227 O
0.3605 0.4639 0.6909 O
0.4023 0.7223 0.0326 O
0.4062 0.2125 0.3844 O
0.4564 0.1640 0.8234 O
0.4861 0.5095 0.3290 O
0.4892 0.8438 0.8180 O
0.5677 0.9081 0.3865 O
0.6050 0.2552 0.1925 O
0.6752 0.6457 0.1143 O
0.7183 0.5654 0.5445 O
0.7512 0.2986 0.6000 O
0.7526 0.0735 0.7138 O
0.8485 0.6847 0.8963 O
0.8510 0.4621 0.0125 O
0.8855 0.1949 0.0690 O
0.9256 0.1135 0.4961 O
0.9972 0.5052 0.4207 O
```